Diffraction record for Sm4Rh6Pb19. The X-ray diffraction stick pattern is calculated, not measured: it uses a PBE-relaxed structure and Cu Ka.

Peak list (12 most intense, 2θ from 5° to 70°, by angle)
- d 3.750, 2θ 23.73, intensity 20
- d 3.169, 2θ 28.16, intensity 16
- d 2.964, 2θ 30.15, intensity 16
- d 2.795, 2θ 32.02, intensity 100
- d 2.326, 2θ 38.72, intensity 27
- d 2.034, 2θ 44.55, intensity 21
- d 1.976, 2θ 45.92, intensity 13
- d 1.677, 2θ 54.74, intensity 10
- d 1.614, 2θ 57.08, intensity 18
- d 1.506, 2θ 61.58, intensity 11
- d 1.460, 2θ 63.76, intensity 12
- d 1.378, 2θ 68.01, intensity 10

Cell and atoms:
Lattice parameters (Å, degrees): 10.2692 10.2692 10.2692 109.47 109.47 109.47
Element x y z (fractional)
Sm 0.0000 0.0000 0.3466
Sm 0.0000 0.3466 0.0000
Sm 0.3466 0.0000 0.0000
Sm 0.6534 0.6534 0.6534
Rh 0.1208 0.5000 0.6208
Rh 0.3792 0.8792 0.5000
Rh 0.5000 0.3792 0.8792
Rh 0.5000 0.6208 0.1208
Rh 0.6208 0.1208 0.5000
Rh 0.8792 0.5000 0.3792
Pb 0.0000 0.0000 0.0000
Pb 0.0000 0.3038 0.3038
Pb 0.0000 0.6962 0.6962
Pb 0.0359 0.6703 0.2676
Pb 0.2316 0.6343 0.9641
Pb 0.2676 0.0359 0.6703
Pb 0.3038 0.0000 0.3038
Pb 0.3038 0.3038 0.0000
Pb 0.3297 0.3657 0.5973
Pb 0.3657 0.5973 0.3297
Pb 0.4027 0.7684 0.7324
Pb 0.5973 0.3297 0.3657
Pb 0.6343 0.9641 0.2316
Pb 0.6703 0.2676 0.0359
Pb 0.6962 0.0000 0.6962
Pb 0.6962 0.6962 0.0000
Pb 0.7324 0.4027 0.7684
Pb 0.7684 0.7324 0.4027
Pb 0.9641 0.2316 0.6343

---

Diffraction record for Sr3Rh4Pb13. The X-ray diffraction stick pattern is calculated, not measured: it uses a PBE-relaxed structure and Cu Ka.

Peak list (12 most intense, 2θ from 5° to 70°, by angle)
- d 3.257, 2θ 27.38, intensity 14
- d 2.856, 2θ 31.31, intensity 100
- d 2.753, 2θ 32.53, intensity 35
- d 2.575, 2θ 34.84, intensity 14
- d 2.498, 2θ 35.95, intensity 19
- d 2.303, 2θ 39.11, intensity 9
- d 2.102, 2θ 43.02, intensity 25
- d 1.766, 2θ 51.76, intensity 17
- d 1.671, 2θ 54.96, intensity 19
- d 1.608, 2θ 57.28, intensity 11
- d 1.471, 2θ 63.20, intensity 16
- d 1.457, 2θ 63.91, intensity 10

Cell and atoms:
Lattice parameters (Å, degrees): 10.2992 10.2992 10.2992 90.00 90.00 90.00
Element x y z (fractional)
Sr 0.0000 0.2500 0.5000
Sr 0.0000 0.7500 0.5000
Sr 0.2500 0.5000 0.0000
Sr 0.5000 0.0000 0.2500
Sr 0.5000 0.0000 0.7500
Sr 0.7500 0.5000 0.0000
Rh 0.2500 0.2500 0.2500
Rh 0.2500 0.2500 0.7500
Rh 0.2500 0.7500 0.2500
Rh 0.2500 0.7500 0.7500
Rh 0.7500 0.2500 0.2500
Rh 0.7500 0.2500 0.7500
Rh 0.7500 0.7500 0.2500
Rh 0.7500 0.7500 0.7500
Pb 0.0000 0.0000 0.0000
Pb 0.0000 0.3028 0.1553
Pb 0.0000 0.3028 0.8447
Pb 0.0000 0.6972 0.1553
Pb 0.0000 0.6972 0.8447
Pb 0.1553 0.0000 0.3028
Pb 0.1553 0.0000 0.6972
Pb 0.1972 0.5000 0.3447
Pb 0.1972 0.5000 0.6553
Pb 0.3028 0.1553 0.0000
Pb 0.3028 0.8447 0.0000
Pb 0.3447 0.1972 0.5000
Pb 0.3447 0.8028 0.5000
Pb 0.5000 0.3447 0.1972
Pb 0.5000 0.3447 0.8028
Pb 0.5000 0.5000 0.5000
Pb 0.5000 0.6553 0.1972
Pb 0.5000 0.6553 0.8028
Pb 0.6553 0.1972 0.5000
Pb 0.6553 0.8028 0.5000
Pb 0.6972 0.1553 0.0000
Pb 0.6972 0.8447 0.0000
Pb 0.8028 0.5000 0.3447
Pb 0.8028 0.5000 0.6553
Pb 0.8447 0.0000 0.3028
Pb 0.8447 0.0000 0.6972

---

Diffraction record for Y4Rh6Pb19. The X-ray diffraction stick pattern is calculated, not measured: it uses a PBE-relaxed structure and Cu Ka.

Peak list (12 most intense, 2θ from 5° to 70°, by angle)
- d 3.714, 2θ 23.96, intensity 29
- d 3.139, 2θ 28.43, intensity 21
- d 2.936, 2θ 30.44, intensity 25
- d 2.768, 2θ 32.34, intensity 100
- d 2.303, 2θ 39.11, intensity 33
- d 2.014, 2θ 45.01, intensity 27
- d 1.957, 2θ 46.39, intensity 11
- d 1.661, 2θ 55.31, intensity 11
- d 1.598, 2θ 57.68, intensity 16
- d 1.492, 2θ 62.24, intensity 12
- d 1.446, 2θ 64.45, intensity 13
- d 1.365, 2θ 68.76, intensity 13

Cell and atoms:
Lattice parameters (Å, degrees): 10.1712 10.1712 10.1712 109.47 109.47 109.47
Element x y z (fractional)
Y 0.0000 0.0000 0.3504
Y 0.0000 0.3504 0.0000
Y 0.3504 0.0000 0.0000
Y 0.6496 0.6496 0.6496
Rh 0.1197 0.5000 0.6197
Rh 0.3803 0.8803 0.5000
Rh 0.5000 0.3803 0.8803
Rh 0.5000 0.6197 0.1197
Rh 0.6197 0.1197 0.5000
Rh 0.8803 0.5000 0.3803
Pb 0.0000 0.0000 0.0000
Pb 0.0000 0.3005 0.3005
Pb 0.0000 0.6995 0.6995
Pb 0.0334 0.6722 0.2676
Pb 0.2342 0.6389 0.9666
Pb 0.2676 0.0334 0.6722
Pb 0.3005 0.0000 0.3005
Pb 0.3005 0.3005 0.0000
Pb 0.3278 0.3611 0.5953
Pb 0.3611 0.5953 0.3278
Pb 0.4047 0.7658 0.7324
Pb 0.5953 0.3278 0.3611
Pb 0.6389 0.9666 0.2342
Pb 0.6722 0.2676 0.0334
Pb 0.6995 0.0000 0.6995
Pb 0.6995 0.6995 0.0000
Pb 0.7324 0.4047 0.7658
Pb 0.7658 0.7324 0.4047
Pb 0.9666 0.2342 0.6389